Entry 1:
For NbNiTe2, a structure optimized by DFT (PBE) gives the theoretical X-ray powder pattern in this record (Cu Ka).
Neutral-atom scattering factors, no anomalous dispersion.

The 8 most intense peaks (2θ = 10–90°), sorted by position:
11.8 deg, I = 76, (0 1 0)
29.0 deg, I = 100, (2 1 1)
37.3 deg, I = 55, (0 2 2)
38.2 deg, I = 32, (2 1 2)
42.7 deg, I = 40, (2 3 0)
45.2 deg, I = 49, (4 0 0)
50.5 deg, I = 34, (2 1 3)
60.0 deg, I = 18, (4 2 2)

Structural model:
```
data_NbNiTe2
_chemical_formula_sum 'Nb4 Ni4 Te8'
_space_group_name_H-M_alt 'P m n a'
_space_group_IT_number 53
_space_group_name_Hall '-P 2ac 2'
_cell_length_a 8.024
_cell_length_b 7.481
_cell_length_c 6.306
_cell_angle_alpha 90.00
_cell_angle_beta 90.00
_cell_angle_gamma 90.00
loop_
_atom_site_label
_atom_site_fract_x
_atom_site_fract_y
_atom_site_fract_z
Nb1 0.206 0.000 0.000
Ni1 0.000 0.117 0.356
Te1 0.000 0.219 0.751
Te2 0.250 0.313 0.250
```

***

Entry 2:
For TiNb3Ni12, a structure optimized by DFT (PBE) gives the theoretical X-ray powder pattern in this record (Cu Ka).
Neutral-atom scattering factors, no anomalous dispersion.

The 8 most intense peaks (2θ = 10–90°), sorted by position:
40.6 deg, I = 28, (0 4 1)
43.1 deg, I = 43, (2 0 0)
45.4 deg, I = 56, (1 0 2)
46.3 deg, I = 100, (1 4 1)
60.7 deg, I = 16, (2 4 1)
72.7 deg, I = 15, (0 4 3)
81.3 deg, I = 17, (3 4 1)
88.4 deg, I = 18, (2 4 3)

Structural model:
```
data_TiNb3Ni12
_chemical_formula_sum 'Ti1 Nb3 Ni12'
_space_group_name_H-M_alt 'P m m 2'
_space_group_IT_number 25
_space_group_name_Hall 'P 2 -2'
_cell_length_a 4.199
_cell_length_b 10.179
_cell_length_c 4.542
_cell_angle_alpha 90.00
_cell_angle_beta 90.00
_cell_angle_gamma 90.00
loop_
_atom_site_label
_atom_site_fract_x
_atom_site_fract_y
_atom_site_fract_z
Ti1 0.000 0.000 0.000
Nb1 0.000 0.500 0.999
Nb2 0.500 0.249 0.303
Ni1 0.000 0.122 0.491
Ni2 0.000 0.248 0.967
Ni3 0.000 0.375 0.493
Ni4 0.500 0.000 0.333
Ni5 0.500 0.124 0.812
Ni6 0.500 0.374 0.810
Ni7 0.500 0.500 0.334
```

***

Entry 3:
For Nb12O29, a structure optimized by DFT (PBE) gives the theoretical X-ray powder pattern in this record (Cu Ka).
Neutral-atom scattering factors, no anomalous dispersion.

The 8 most intense peaks (2θ = 10–90°), sorted by position:
16.8 deg, I = 28, (4 0 -1)
23.4 deg, I = 85, (1 1 0)
24.2 deg, I = 100, (0 0 4)
25.3 deg, I = 72, (6 0 -2)
31.5 deg, I = 52, (5 1 -1)
32.6 deg, I = 30, (1 1 -4)
46.9 deg, I = 35, (0 2 0)
53.3 deg, I = 27, (11 1 -3)

Structural model:
```
data_Nb12O29
_chemical_formula_sum 'Nb24 O58'
_space_group_name_H-M_alt 'C 1 2/m 1'
_space_group_IT_number 12
_space_group_name_Hall '-C 2y'
_cell_length_a 21.130
_cell_length_b 3.870
_cell_length_c 16.013
_cell_angle_alpha 90.00
_cell_angle_beta 113.09
_cell_angle_gamma 90.00
loop_
_atom_site_label
_atom_site_fract_x
_atom_site_fract_y
_atom_site_fract_z
Nb1 0.040 0.000 0.131
Nb2 0.067 0.000 0.601
Nb3 0.120 0.000 0.403
Nb4 0.144 0.000 0.871
Nb5 0.198 0.500 0.599
Nb6 0.224 0.000 0.133
O1 0.000 0.000 0.000
O2 0.030 0.000 0.437
O3 0.046 0.500 0.149
O4 0.055 0.000 0.865
O5 0.078 0.000 0.282
O6 0.087 0.500 0.586
O7 0.100 0.000 0.724
O8 0.133 0.500 0.442
O9 0.139 0.000 0.139
O10 0.166 0.000 0.572
O11 0.166 0.500 0.861
O12 0.188 0.000 0.001
O13 0.219 0.000 0.416
O14 0.229 0.500 0.722
O15 0.248 0.000 0.859
```

***

Entry 4:
For Nb2O5, a structure optimized by DFT (PBE) gives the theoretical X-ray powder pattern in this record (Cu Ka).
Neutral-atom scattering factors, no anomalous dispersion.

The 8 most intense peaks (2θ = 10–90°), sorted by position:
24.0 deg, I = 100, (1 1 -1)
26.2 deg, I = 67, (1 1 1)
28.3 deg, I = 56, (4 0 0)
29.5 deg, I = 88, (3 1 -1)
32.4 deg, I = 39, (0 0 2)
34.8 deg, I = 39, (3 1 1)
49.3 deg, I = 34, (0 2 2)
52.9 deg, I = 30, (7 1 -1)

Structural model:
```
data_Nb2O5
_chemical_formula_sum 'Nb8 O20'
_space_group_name_H-M_alt 'C 1 2/c 1'
_space_group_IT_number 15
_space_group_name_Hall '-C 2yc'
_cell_length_a 12.977
_cell_length_b 4.982
_cell_length_c 5.686
_cell_angle_alpha 90.00
_cell_angle_beta 103.88
_cell_angle_gamma 90.00
loop_
_atom_site_label
_atom_site_fract_x
_atom_site_fract_y
_atom_site_fract_z
Nb1 0.141 0.242 0.253
O1 0.000 0.112 0.250
O2 0.112 0.449 0.980
O3 0.205 0.069 0.628
```

***

Entry 5:
For Nb2O5, a structure optimized by DFT (PBE) gives the theoretical X-ray powder pattern in this record (Cu Ka).
Neutral-atom scattering factors, no anomalous dispersion.

The 8 most intense peaks (2θ = 10–90°), sorted by position:
11.3 deg, I = 73, (0 0 1)
17.3 deg, I = 38, (1 0 1)
25.8 deg, I = 100, (0 1 1)
26.2 deg, I = 100, (2 0 0)
29.0 deg, I = 59, (1 1 1)
35.2 deg, I = 30, (1 1 2)
36.9 deg, I = 48, (1 0 -3)
47.1 deg, I = 25, (0 2 0)

Structural model:
```
data_Nb2O5
_chemical_formula_sum 'Nb4 O10'
_space_group_name_H-M_alt 'P 1 21/m 1'
_space_group_IT_number 11
_space_group_name_Hall '-P 2yb'
_cell_length_a 6.803
_cell_length_b 3.857
_cell_length_c 7.826
_cell_angle_alpha 90.00
_cell_angle_beta 90.12
_cell_angle_gamma 90.00
loop_
_atom_site_label
_atom_site_fract_x
_atom_site_fract_y
_atom_site_fract_z
Nb1 0.195 0.250 0.094
Nb2 0.268 0.750 0.723
O1 0.031 0.250 0.284
O2 0.144 0.750 0.031
O3 0.256 0.250 0.813
O4 0.318 0.750 0.506
O5 0.446 0.250 0.174
```

***

Entry 6:
For Nb2O5, a structure optimized by DFT (PBE) gives the theoretical X-ray powder pattern in this record (Cu Ka).
Neutral-atom scattering factors, no anomalous dispersion.

The 8 most intense peaks (2θ = 10–90°), sorted by position:
13.5 deg, I = 37, (2 0 0)
21.9 deg, I = 100, (0 0 1)
24.0 deg, I = 86, (1 1 0)
27.2 deg, I = 50, (4 0 0)
30.9 deg, I = 57, (3 1 0)
32.6 deg, I = 43, (1 1 -1)
46.9 deg, I = 27, (0 2 0)
54.5 deg, I = 30, (7 1 0)

Structural model:
```
data_Nb2O5
_chemical_formula_sum 'Nb4 O10'
_space_group_name_H-M_alt 'C 1 2/m 1'
_space_group_IT_number 12
_space_group_name_Hall '-C 2y'
_cell_length_a 13.093
_cell_length_b 3.873
_cell_length_c 4.061
_cell_angle_alpha 90.00
_cell_angle_beta 90.76
_cell_angle_gamma 90.00
loop_
_atom_site_label
_atom_site_fract_x
_atom_site_fract_y
_atom_site_fract_z
Nb1 0.146 0.000 0.067
O1 0.000 0.000 0.000
O2 0.148 0.000 0.511
O3 0.185 0.500 0.003
```

***

Q: Which formula does entry 5 have?
A: Nb2O5

***

Q: What is the formula in the fourth record?
A: Nb2O5